Record 1
Starting from DFT lattice parameters and positions (GGA-PBE), the X-ray diffraction stick pattern of HoTmTa2Si2 was simulated for copper Kα.

```
HoTmTa2Si2
1.0
3.985 0.000 0.000
0.000 3.985 0.000
0.000 0.000 7.675
Ho Tm Ta Si
1 1 2 2
Direct
0.000 0.000 0.000 Ho
0.500 0.500 0.293 Tm
0.000 0.500 0.645 Ta
0.500 0.000 0.645 Ta
0.000 0.000 0.402 Si
0.500 0.500 0.888 Si
```

Largest 10 diffraction maxima, by angle, 2θ from 10° to 90°:
2theta, d [Å], I/Imax
11.5, 7.675, 26
25.2, 3.537, 29
32.4, 2.764, 38
33.9, 2.645, 100
35.1, 2.558, 32
39.7, 2.271, 53
45.5, 1.993, 40
58.2, 1.586, 24
58.7, 1.572, 29
76.6, 1.244, 19

=====

Record 2
Starting from DFT lattice parameters and positions (GGA-PBE), the X-ray diffraction stick pattern of TbHoZn2Si2 was simulated for copper Kα.

```
TbHoZn2Si2
1.0
4.135 0.000 0.000
-2.067 3.581 0.000
0.000 0.000 15.770
Tb Ho Zn Si
2 2 4 4
Direct
0.000 0.000 0.000 Tb
0.000 0.000 0.500 Tb
0.000 0.000 0.250 Ho
0.000 0.000 0.750 Ho
0.333 0.667 0.136 Zn
0.333 0.667 0.364 Zn
0.667 0.333 0.636 Zn
0.667 0.333 0.864 Zn
0.333 0.667 0.620 Si
0.333 0.667 0.880 Si
0.667 0.333 0.120 Si
0.667 0.333 0.380 Si
```

Largest 10 diffraction maxima, by angle, 2θ from 10° to 90°:
2theta, d [Å], I/Imax
24.9, 3.581, 30
33.8, 2.651, 100
43.8, 2.067, 38
46.0, 1.971, 10
53.0, 1.727, 9
56.4, 1.630, 23
65.4, 1.427, 20
74.1, 1.280, 20
77.3, 1.234, 8
80.5, 1.194, 6

=====

Record 3
Starting from DFT lattice parameters and positions (GGA-PBE), the X-ray diffraction stick pattern of Ho3SiTe2 was simulated for copper Kα.

```
Ho3SiTe2
1.0
3.748 -6.377 0.000
3.748 6.377 0.000
-2.478 0.000 6.917
Ho Si Te
6 2 4
Direct
0.000 0.500 0.000 Ho
0.141 0.286 0.494 Ho
0.286 0.141 0.994 Ho
0.500 0.000 0.500 Ho
0.714 0.859 0.006 Ho
0.859 0.714 0.506 Ho
0.091 0.909 0.250 Si
0.909 0.091 0.750 Si
0.260 0.740 0.750 Te
0.419 0.581 0.250 Te
0.581 0.419 0.750 Te
0.740 0.260 0.250 Te
```

Largest 10 diffraction maxima, by angle, 2θ from 10° to 90°:
2theta, d [Å], I/Imax
25.6, 3.484, 15
29.4, 3.034, 52
29.6, 3.014, 100
41.9, 2.154, 33
42.3, 2.136, 18
42.6, 2.123, 56
52.6, 1.741, 18
53.0, 1.729, 12
61.5, 1.507, 11
78.0, 1.224, 9

=====

Record 4
Starting from DFT lattice parameters and positions (GGA-PBE), the X-ray diffraction stick pattern of SmHoZn2Sn2 was simulated for copper Kα.

```
SmHoZn2Sn2
1.0
4.517 0.000 0.000
-2.259 3.912 0.000
0.000 0.000 15.987
Sm Ho Zn Sn
2 2 4 4
Direct
0.000 0.000 0.000 Sm
0.000 0.000 0.500 Sm
0.000 0.000 0.250 Ho
0.000 0.000 0.750 Ho
0.333 0.667 0.161 Zn
0.333 0.667 0.339 Zn
0.667 0.333 0.661 Zn
0.667 0.333 0.839 Zn
0.333 0.667 0.617 Sn
0.333 0.667 0.883 Sn
0.667 0.333 0.117 Sn
0.667 0.333 0.383 Sn
```

Largest 10 diffraction maxima, by angle, 2θ from 10° to 90°:
2theta, d [Å], I/Imax
22.7, 3.912, 8
28.3, 3.154, 15
32.0, 2.796, 100
39.9, 2.259, 60
45.4, 1.998, 7
46.0, 1.972, 13
52.1, 1.757, 26
62.0, 1.497, 17
67.5, 1.387, 24
72.5, 1.304, 10